Structure and theoretical powder XRD pattern of Sr2CaO12 (a cell relaxed with GGA-PBE; λ = 1.5418 Å (Cu Kα)).
Kinematic intensities with the Lorentz-polarization factor, no thermal factor.

```
Sr2CaO12
1.0
4.872 0.000 0.000
-2.351 5.743 0.000
-0.053 -2.491 8.576
Sr Ca O
2 1 12
Direct
0.000 0.000 0.000 Sr
0.447 0.897 0.625 Sr
0.729 0.465 0.324 Ca
0.184 0.386 0.854 O
0.208 0.387 0.236 O
0.222 0.445 0.729 O
0.245 0.513 0.389 O
0.530 0.063 0.924 O
0.532 0.064 0.079 O
0.550 0.103 0.407 O
0.638 0.287 0.540 O
0.813 0.614 0.092 O
0.906 0.806 0.222 O
0.916 0.836 0.550 O
0.918 0.838 0.710 O
```

Peak list (6 most intense, 10° ≤ 2θ ≤ 90°, in order of falling intensity)
2θ (°)  d (Å)  I (rel.)  h k l
16.51  5.370  100  0 1 -1
36.90  2.436  95  2 -1 0
29.74  3.004  78  0 1 2
23.44  3.795  74  1 0 1
23.58  3.772  74  -1 1 1
16.07  5.515  51  0 1 0